# 1
For BiAu7, the PBE geometry in OQMD gives the theoretical X-ray powder pattern in this record (Cu Kα (λ = 1.5418 Å)).
Lines closer than 0.1° are merged.

Structure:
a = 3.0604 Å, b = 3.0604 Å, c = 43.6777 Å
α = 90.00°, β = 90.00°, γ = 90.00°
Atoms (fractional coordinates):
1 Bi 0.2500 0.2500 0.1565
2 Bi 0.7500 0.7500 0.8435
3 Au 0.2500 0.2500 0.2558
4 Au 0.2500 0.2500 0.3451
5 Au 0.2500 0.2500 0.4337
6 Au 0.2500 0.2500 0.5221
7 Au 0.2500 0.2500 0.6105
8 Au 0.2500 0.2500 0.6994
9 Au 0.2500 0.2500 0.7896
10 Au 0.7500 0.7500 0.2104
11 Au 0.7500 0.7500 0.3006
12 Au 0.7500 0.7500 0.3895
13 Au 0.7500 0.7500 0.4779
14 Au 0.7500 0.7500 0.5663
15 Au 0.7500 0.7500 0.6549
16 Au 0.7500 0.7500 0.7442

Top 10 peaks for 5 to 70 degrees two-theta, most intense first:
37.09°, intensity 100
41.75°, intensity 48
38.43°, intensity 26
63.60°, intensity 17
60.51°, intensity 16
45.70°, intensity 11
34.65°, intensity 10
65.38°, intensity 9
6.07°, intensity 7
47.90°, intensity 6



# 2
For Ga2W3, the PBE geometry in OQMD gives the theoretical X-ray powder pattern in this record (Cu Kα (λ = 1.5418 Å)).
Lines closer than 0.1° are merged.

Structure:
a = 6.6950 Å, b = 6.6950 Å, c = 5.5604 Å
α = 98.35°, β = 98.35°, γ = 40.36°
Atoms (fractional coordinates):
1 Ga 0.1483 0.2563 0.1667
2 Ga 0.2563 0.1483 0.6667
3 Ga 0.7437 0.8517 0.3333
4 Ga 0.8517 0.7437 0.8333
5 W 0.0028 0.9972 0.2500
6 W 0.3572 0.4441 0.5419
7 W 0.4441 0.3572 0.0419
8 W 0.5559 0.6428 0.9581
9 W 0.6428 0.5559 0.4581
10 W 0.9972 0.0028 0.7500

Top 10 peaks for 5 to 70 degrees two-theta, most intense first:
39.80°, intensity 100
41.28°, intensity 92
40.34°, intensity 52
39.00°, intensity 44
14.27°, intensity 41
57.36°, intensity 29
28.97°, intensity 16
59.99°, intensity 16
37.83°, intensity 15
44.13°, intensity 14



# 3
For TmNb2Al2Ga2, the PBE geometry in OQMD gives the theoretical X-ray powder pattern in this record (Cu Kα (λ = 1.5418 Å)).
Lines closer than 0.1° are merged.

Structure:
a = 5.5397 Å, b = 5.5397 Å, c = 5.5397 Å
α = 120.08°, β = 104.33°, γ = 104.55°
Atoms (fractional coordinates):
1 Tm 0.0000 0.0000 0.0000
2 Nb 0.4977 0.2474 0.7498
3 Nb 0.4977 0.7479 0.2502
4 Al 0.3879 0.6929 0.6950
5 Al 0.9978 0.6929 0.3050
6 Ga 0.6053 0.3019 0.3033
7 Ga 0.9986 0.3019 0.6967

Top 10 peaks for 5 to 70 degrees two-theta, most intense first:
37.50°, intensity 100
33.68°, intensity 52
43.20°, intensity 30
20.71°, intensity 24
67.67°, intensity 22
26.26°, intensity 21
54.02°, intensity 18
54.12°, intensity 18
58.56°, intensity 13
65.27°, intensity 9